Entry 1:
# Fe2P2O9
Simulated powder X-ray diffraction pattern, λ = 1.5418 Å (Cu Kα). Input: a crystal structure in the Materials Project, relaxed with GGA+U.

```
data_Fe2P2O9
_cell_length_a 6.431
_cell_length_b 7.822
_cell_length_c 14.107
_cell_angle_alpha 89.96
_cell_angle_beta 90.00
_cell_angle_gamma 89.97
_symmetry_space_group_name_H-M 'P 1'
_symmetry_Int_Tables_number 1
loop_
_symmetry_equiv_pos_as_xyz
'x,y,z'
loop_
_atom_site_label
_atom_site_fract_x
_atom_site_fract_y
_atom_site_fract_z
_atom_site_occupancy
Fe1 0.000 0.000 0.000 1
Fe2 0.000 0.189 0.499 1
Fe3 0.250 0.344 0.878 1
Fe4 0.250 0.844 0.378 1
Fe5 0.499 0.499 0.257 1
Fe6 0.499 0.688 0.757 1
Fe7 0.750 0.344 0.878 1
Fe8 0.750 0.844 0.378 1
P1 0.000 0.950 0.189 1
P2 0.499 0.738 0.567 1
P3 0.500 0.194 0.438 1
P4 0.500 0.449 0.067 1
P5 0.500 0.992 0.938 1
P6 0.999 0.238 0.689 1
P7 0.999 0.493 0.318 1
P8 0.999 0.696 0.819 1
O1 0.000 0.072 0.628 1
O2 0.000 0.117 0.129 1
O3 0.000 0.204 0.924 1
O4 0.000 0.512 0.864 1
O5 0.000 0.677 0.363 1
O6 0.000 0.821 0.104 1
O7 0.000 0.984 0.423 1
O8 0.193 0.477 0.255 1
O9 0.193 0.712 0.757 1
O10 0.197 0.255 0.751 1
O11 0.197 0.933 0.250 1
O12 0.302 0.432 0.006 1
O13 0.302 0.755 0.506 1
O14 0.306 0.211 0.500 1
O15 0.306 0.975 0.000 1
O16 0.499 0.011 0.393 1
O17 0.499 0.484 0.833 1
O18 0.499 0.570 0.628 1
O19 0.499 0.616 0.128 1
O20 0.499 0.703 0.333 1
O21 0.499 0.866 0.652 1
O22 0.500 0.176 0.893 1
O23 0.500 0.320 0.153 1
O24 0.500 0.332 0.361 1
O25 0.500 0.855 0.861 1
O26 0.694 0.210 0.500 1
O27 0.694 0.975 0.000 1
O28 0.697 0.433 0.006 1
O29 0.697 0.754 0.506 1
O30 0.802 0.255 0.751 1
O31 0.802 0.933 0.250 1
O32 0.805 0.478 0.256 1
O33 0.805 0.712 0.757 1
O34 0.999 0.355 0.394 1
O35 0.999 0.367 0.604 1
O36 0.999 0.834 0.895 1
```

The 8 most intense peaks (2θ from 15° to 90°), low angle first:
2θ/deg, Rel. int.
16.93, 92
17.86, 45
18.94, 89
21.88, 55
23.61, 100
27.75, 54
29.71, 41
30.72, 76

***

Entry 2:
# FePO6
Simulated powder X-ray diffraction pattern, λ = 1.5418 Å (Cu Kα). Input: a crystal structure in the Materials Project, relaxed with GGA+U.

```
data_FePO6
_cell_length_a 5.463
_cell_length_b 9.600
_cell_length_c 10.841
_cell_angle_alpha 90.00
_cell_angle_beta 118.30
_cell_angle_gamma 90.00
_symmetry_space_group_name_H-M 'P 1 21/c 1'
_symmetry_Int_Tables_number 14
loop_
_symmetry_equiv_pos_as_xyz
'x,y,z'
'-x,-y,-z'
'-x,y+1/2,-z+1/2'
'x,-y+1/2,z+1/2'
loop_
_atom_site_label
_atom_site_fract_x
_atom_site_fract_y
_atom_site_fract_z
_atom_site_occupancy
Fe1 0.196 0.194 0.159 1
P1 0.155 0.657 0.691 1
O1 0.027 0.705 0.784 1
O2 0.038 0.204 0.962 1
O3 0.179 0.003 0.197 1
O4 0.217 0.519 0.126 1
O5 0.331 0.545 0.053 1
O6 0.446 0.723 0.747 1
```

The 8 most intense peaks (2θ from 15° to 90°), low angle first:
2θ/deg, Rel. int.
18.46, 95
18.59, 65
18.70, 68
19.00, 100
26.88, 26
29.44, 40
32.08, 51
32.43, 54

***

Q: Which formula does entry 1 have?
A: Fe2P2O9

***

Q: Number 1 is which compound?
A: Fe2P2O9